# LiVPH4O7
Computed powder XRD pattern, Cu Kα (λ = 1.5418 Å). Input: a cell relaxed with GGA+U.
Kinematic intensities with the Lorentz-polarization factor, no thermal factor.

The 10 most intense peaks (10° ≤ 2θ ≤ 90°), by angle:
d (Å)	2θ/deg	I (rel.)	(hkl)
6.420	13.79	100.0	0 0 2
4.554	19.49	22.1	1 1 2
3.210	27.79	10.8	0 0 4
3.129	28.53	99.6	2 2 1
2.877	31.09	12.5	1 1 4
2.576	34.83	28.4	2 2 3
2.392	37.60	11.2	3 1 3
2.041	44.39	12.0	2 4 0
1.921	47.32	11.0	3 3 3
1.613	57.10	12.0	4 4 0

```
data_LiVPH4O7
_chemical_formula_sum 'Li8 V8 P8 H32 O56'
_cell_length_a 9.1150
_cell_length_b 9.1338
_cell_length_c 12.8395
_cell_angle_alpha 90.00
_cell_angle_beta 90.00
_cell_angle_gamma 90.00
_symmetry_space_group_name_H-M 'C m c e'
_symmetry_Int_Tables_number 64
_symmetry_space_group_name_Hall '-C 2ac 2'
loop_
_atom_site_label
_atom_site_type_symbol
_atom_site_fract_x
_atom_site_fract_y
_atom_site_fract_z
Li1 Li 0.0000 0.1183 0.0664
V1 V 0.0000 0.1205 0.7079
P1 P 0.2500 0.1259 0.2500
H1 H 0.0834 0.1485 0.4635
H2 H 0.2293 0.0144 0.9384
O1 O 0.0000 0.1025 0.8340
O2 O 0.0000 0.1691 0.5096
O3 O 0.1481 0.2192 0.1804
O4 O 0.1591 0.0296 0.3277
O5 O 0.1656 0.0000 0.0000
```